The following is a theoretical powder diffractogram of Y4Tl2O. It was derived from a PBE-relaxed structure, using Cu Kα.
Kinematic intensities with the Lorentz-polarization factor, no thermal factor.

Structure:
Cell lengths 4.6494, 4.6494, 16.4917 Å; angles 90.00, 90.00, 90.00 degrees
Space group I4/mmm (No. 139)
One atom of each set of equivalent atoms:
Y 0.0000 0.0000 0.1708 [4 per cell]
Y 0.0000 0.5000 0.0000 [4 per cell]
Tl 0.0000 0.0000 0.3606 [4 per cell]
O 0.0000 0.0000 0.0000 [2 per cell]

Largest 12 diffraction maxima, by angle, 15° ≤ 2θ ≤ 90°:
2θ = 19.84°, d = 4.475 Å, intensity 23
2θ = 25.08°, d = 3.550 Å, intensity 20
2θ = 27.12°, d = 3.288 Å, intensity 44
2θ = 29.24°, d = 3.054 Å, intensity 48
2θ = 32.58°, d = 2.749 Å, intensity 27
2θ = 33.31°, d = 2.690 Å, intensity 20
2θ = 34.91°, d = 2.570 Å, intensity 100
2θ = 38.73°, d = 2.325 Å, intensity 61
2θ = 43.04°, d = 2.102 Å, intensity 15
2θ = 51.48°, d = 1.775 Å, intensity 30
2θ = 55.94°, d = 1.644 Å, intensity 21
2θ = 67.65°, d = 1.385 Å, intensity 29